For MnH4C2O6, the GGA+U geometry in the Materials Project gives the simulated powder diffractogram in this record (Cu Kα).
Peak positions follow from Bragg's law for the DFT cell and can differ from measured ones.

Structure:
```
26
Lattice="5.534 -2.866 0.000 5.534 2.866 0.000 -4.758 0.000 7.999" Properties=species:S:1:pos:R:3 pbc="T T T"
Mn 1.966 1.784 5.999
Mn 4.345 -1.784 2.000
H 1.334 0.725 1.096
H 1.393 0.399 2.657
H -1.045 -0.725 5.096
H -0.986 -0.399 6.657
H 7.297 0.399 1.342
H 7.356 0.725 2.903
H 4.918 -0.399 5.341
H 4.977 -0.725 6.903
C 4.255 1.068 1.223
C 4.434 1.068 2.777
C 1.876 -1.068 5.222
C 2.055 -1.068 6.776
O 1.025 1.020 1.995
O 4.211 2.200 0.645
O 4.479 2.200 3.354
O -1.354 -1.020 5.994
O 1.789 0.056 4.652
O 4.168 -0.056 0.653
O 2.143 0.056 7.346
O 4.522 -0.056 3.347
O 7.665 1.020 2.004
O 1.832 -2.200 4.645
O 2.100 -2.200 7.354
O 5.286 -1.020 6.004
```

Main lines, most intense first (5° ≤ 2θ ≤ 70°):
2θ/deg, d_spacing, I (rel.)
32.5, 2.754, 100
18.7, 4.756, 89
20.4, 4.345, 78
23.6, 3.765, 46
22.2, 3.999, 44
33.8, 2.655, 41
38.7, 2.329, 32
33.2, 2.698, 30
42.6, 2.120, 26
46.5, 1.952, 23